[1]
Theoretical X-ray powder pattern
Compound: Li3SbPd2
Radiation: Cu Kα (weighted mean of Kα1 and Kα2)
Structure: a cell relaxed with GGA-PBE
Lines closer than 0.1° are merged.

Atomic structure:
Unit cell a=4.467 b=4.467 c=9.916 alpha=102.96 beta=102.96 gamma=90.16
Atoms (fractional coordinates):
Li: 0.040 0.289 0.580
Li: 0.126 0.874 0.750
Li: 0.289 0.040 0.080
Li: 0.711 0.960 0.920
Li: 0.874 0.126 0.250
Li: 0.960 0.711 0.420
Sb: 0.375 0.625 0.250
Sb: 0.625 0.375 0.750
Pd: 0.205 0.455 0.911
Pd: 0.455 0.205 0.411
Pd: 0.545 0.795 0.589
Pd: 0.795 0.545 0.089

The 8 most intense peaks (2θ from 5° to 70°), by angle:
| 2θ/deg | I/Imax |
| --- | --- |
| 20.43 | 100 |
| 31.09 | 42 |
| 39.13 | 15 |
| 40.38 | 46 |
| 40.55 | 90 |
| 45.62 | 12 |
| 45.72 | 12 |
| 51.80 | 15 |



[2]
Theoretical X-ray powder pattern
Compound: PaNi3Pt
Radiation: Cu Kα (weighted mean of Kα1 and Kα2)
Structure: a cell relaxed with GGA-PBE
Lines closer than 0.1° are merged.

Atomic structure:
Unit cell a=9.556 b=9.556 c=9.556 alpha=152.34 beta=152.34 gamma=39.52
Atoms (fractional coordinates):
Pa: 0.150 0.150 0.000
Pa: 0.850 0.850 0.000
Ni: 0.377 0.622 0.755
Ni: 0.378 0.133 0.755
Ni: 0.378 0.623 0.245
Ni: 0.570 0.070 0.500
Ni: 0.867 0.622 0.245
Ni: 0.930 0.430 0.500
Pt: 0.250 0.750 0.500
Pt: 0.500 0.500 0.000

The 8 most intense peaks (2θ from 5° to 70°), by angle:
| 2θ/deg | I/Imax |
| --- | --- |
| 20.05 | 25 |
| 24.50 | 100 |
| 27.61 | 12 |
| 34.18 | 16 |
| 39.45 | 41 |
| 41.08 | 59 |
| 46.98 | 73 |
| 49.80 | 20 |



[3]
Theoretical X-ray powder pattern
Compound: La2ZnAs2O
Radiation: Cu Kα (weighted mean of Kα1 and Kα2)
Structure: a cell relaxed with GGA-PBE
Lines closer than 0.1° are merged.

Atomic structure:
Unit cell a=3.417 b=3.417 c=14.973 alpha=90.00 beta=90.00 gamma=90.00
Atoms (fractional coordinates):
La: 0.000 0.000 0.141
La: 0.000 0.000 0.859
Zn: 0.000 0.000 0.500
As: 0.000 0.000 0.343
As: 0.000 0.000 0.657
O: 0.000 0.000 0.000

The 8 most intense peaks (2θ from 5° to 70°), by angle:
| 2θ/deg | I/Imax |
| --- | --- |
| 23.77 | 17 |
| 26.08 | 100 |
| 35.58 | 25 |
| 37.21 | 39 |
| 44.98 | 25 |
| 52.74 | 15 |
| 53.65 | 13 |
| 60.60 | 18 |



[4]
Theoretical X-ray powder pattern
Compound: K3PaGe2Te6
Radiation: Cu Kα (weighted mean of Kα1 and Kα2)
Structure: a cell relaxed with GGA-PBE
Lines closer than 0.1° are merged.

Atomic structure:
Unit cell a=7.770 b=7.770 c=8.482 alpha=98.77 beta=98.77 gamma=119.99
Atoms (fractional coordinates):
K: 0.000 0.000 0.000
K: 0.331 0.669 0.000
K: 0.669 0.331 0.000
Pa: 0.500 0.500 0.500
Ge: 0.166 0.834 0.500
Ge: 0.834 0.166 0.500
Te: 0.104 0.434 0.302
Te: 0.236 0.236 0.698
Te: 0.434 0.104 0.302
Te: 0.566 0.896 0.698
Te: 0.764 0.764 0.302
Te: 0.896 0.566 0.698

The 8 most intense peaks (2θ from 5° to 70°), by angle:
| 2θ/deg | I/Imax |
| --- | --- |
| 10.95 | 46 |
| 27.27 | 100 |
| 34.71 | 23 |
| 37.66 | 29 |
| 40.21 | 39 |
| 47.44 | 15 |
| 49.26 | 20 |
| 65.40 | 16 |



[5]
Theoretical X-ray powder pattern
Compound: ReTc4Ru2
Radiation: Cu Kα (weighted mean of Kα1 and Kα2)
Structure: a cell relaxed with GGA-PBE
Lines closer than 0.1° are merged.

Atomic structure:
Unit cell a=5.308 b=8.058 c=5.029 alpha=90.00 beta=102.51 gamma=90.00
Atoms (fractional coordinates):
Re: 0.000 0.000 0.000
Re: 0.500 0.500 0.000
Tc: 0.326 0.000 0.533
Tc: 0.330 0.500 0.446
Tc: 0.449 0.190 0.151
Tc: 0.449 0.810 0.151
Tc: 0.826 0.500 0.533
Tc: 0.830 0.000 0.446
Tc: 0.949 0.310 0.151
Tc: 0.949 0.690 0.151
Ru: 0.127 0.264 0.702
Ru: 0.127 0.736 0.702
Ru: 0.627 0.236 0.702
Ru: 0.627 0.764 0.702

The 8 most intense peaks (2θ from 5° to 70°), by angle:
| 2θ/deg | I/Imax |
| --- | --- |
| 37.72 | 58 |
| 38.68 | 41 |
| 41.43 | 23 |
| 42.19 | 98 |
| 42.85 | 64 |
| 43.15 | 100 |
| 43.83 | 40 |
| 45.01 | 60 |



[6]
Theoretical X-ray powder pattern
Compound: PmEr12Sc7
Radiation: Cu Kα (weighted mean of Kα1 and Kα2)
Structure: a cell relaxed with GGA-PBE
Lines closer than 0.1° are merged.

Atomic structure:
Unit cell a=9.633 b=9.633 c=9.633 alpha=112.74 beta=112.74 gamma=112.74
Atoms (fractional coordinates):
Pm: 0.000 0.000 0.000
Er: 0.000 0.283 0.717
Er: 0.000 0.717 0.283
Er: 0.094 0.426 0.426
Er: 0.283 0.000 0.717
Er: 0.283 0.717 0.000
Er: 0.426 0.094 0.426
Er: 0.426 0.426 0.094
Er: 0.574 0.574 0.906
Er: 0.574 0.906 0.574
Er: 0.717 0.000 0.283
Er: 0.717 0.283 0.000
Er: 0.906 0.574 0.574
Sc: 0.156 0.156 0.490
Sc: 0.156 0.490 0.156
Sc: 0.490 0.156 0.156
Sc: 0.500 0.500 0.500
Sc: 0.510 0.844 0.844
Sc: 0.844 0.510 0.844
Sc: 0.844 0.844 0.510

The 8 most intense peaks (2θ from 5° to 70°), by angle:
| 2θ/deg | I/Imax |
| --- | --- |
| 25.69 | 100 |
| 32.36 | 85 |
| 33.52 | 96 |
| 33.82 | 47 |
| 36.10 | 42 |
| 47.20 | 34 |
| 48.36 | 45 |
| 51.46 | 36 |